For Ti6CoPb, a DFT-relaxed cell (GGA-PBE, Alexandria) gives the simulated powder XRD pattern in this record (a wavelength of 1.5418 Å).

Peak list (10 most intense, 10 to 90 degrees two-theta, in order of rising 2θ)
hkl, d (Å), intensity
1 0 1, 4.907, 34
1 1 0, 4.440, 75
0 1 2, 2.944, 77
2 1 1, 2.644, 84
2 2 0, 2.220, 80
1 2 2, 2.147, 100
3 1 2, 1.772, 24
2 2 3, 1.535, 21
2 1 4, 1.397, 18
5 0 2, 1.385, 18

Atomic structure:
a = 8.8793 Å, b = 8.8793 Å, c = 6.3732 Å
α = 90.00°, β = 90.00°, γ = 120.00°
Space group R-3m (No. 166, hexagonal axes)
Unique sites:
Ti (0.0482, 0.5241, 0.2986)
Co (0.0000, 0.0000, 0.5000)
Pb (0.0000, 0.0000, 0.0000)